This entry pairs a crystal structure of Ca2ZnBr2O2 with its simulated powder X-ray diffraction pattern. Radiation: Cu Kα (weighted mean of Kα1 and Kα2). Structure: a crystal structure in Alexandria, relaxed with PBE.

Peak list (10 most intense, 2θ from 5° to 70°, low angle first)
| two_theta | d (Å) | I (rel.) |
| --- | --- | --- |
| 9.8 | 9.069 | 61.2 |
| 22.8 | 3.902 | 39.0 |
| 26.7 | 3.334 | 31.6 |
| 29.5 | 3.023 | 24.3 |
| 31.7 | 2.826 | 100.0 |
| 33.4 | 2.686 | 89.0 |
| 41.5 | 2.174 | 72.8 |
| 45.4 | 1.998 | 53.2 |
| 57.5 | 1.603 | 34.2 |
| 63.2 | 1.471 | 39.3 |

Structural model:
```
Ca2ZnBr2O2
1.0
-1.998 1.998 9.069
1.998 -1.998 9.069
1.998 1.998 -9.069
Ca Zn Br O
2 1 2 2
direct
0.084 0.084 0.000 Ca
0.916 0.916 0.000 Ca
0.500 0.500 0.000 Zn
0.338 0.338 0.000 Br
0.662 0.662 0.000 Br
0.000 0.500 0.500 O
0.500 0.000 0.500 O
```